(1)
This entry pairs a crystal structure of MgV4O7F5 with its theoretical PXRD pattern. Radiation: Cu Ka. Structure: a GGA+U-relaxed structure.
Kinematic intensities with the Lorentz-polarization factor, no thermal factor.

Top 10 peaks for 5 to 70 degrees two-theta, by intensity:
2θ/deg	d/Å	intensity	index
24.01	3.706	100	1 1 0
24.48	3.636	99	0 0 2
23.25	3.826	94	1 -1 0
47.54	1.913	30	2 -2 0
33.47	2.677	27	1 1 -2
33.27	2.693	26	0 2 0
33.74	2.656	24	1 -1 2
50.19	1.818	24	0 0 4
49.17	1.853	24	2 2 0
54.54	1.683	23	1 3 0

a = 5.2684 Å, b = 5.3962 Å, c = 7.2855 Å
α = 93.10°, β = 91.73°, γ = 91.73°
Space group P1 (No. 1)
Inequivalent atoms, fractional coordinates:
Mg (0.0000, 0.0000, 0.0000) [1 per cell]
V (0.0022, 0.5505, 0.7651) [1 per cell]
V (0.0331, 0.5724, 0.2708) [1 per cell]
V (0.4971, 0.0557, 0.7362) [1 per cell]
V (0.5174, 0.0478, 0.2383) [1 per cell]
O (0.1038, 0.5548, 0.4959) [1 per cell]
O (0.2041, 0.8701, 0.7929) [1 per cell]
O (0.3194, 0.7877, 0.2080) [1 per cell]
O (0.4626, 0.0873, 0.5015) [1 per cell]
O (0.6311, 0.0617, 0.9928) [1 per cell]
O (0.8402, 0.2763, 0.7264) [1 per cell]
O (0.9409, 0.6037, 0.0007) [1 per cell]
F (0.1978, 0.2538, 0.1718) [1 per cell]
F (0.3162, 0.3747, 0.8074) [1 per cell]
F (0.7080, 0.3793, 0.2809) [1 per cell]
F (0.7155, 0.7470, 0.6921) [1 per cell]
F (0.8489, 0.8926, 0.2896) [1 per cell]

=====

(2)
This entry pairs a crystal structure of MgV2O2F6 with its theoretical PXRD pattern. Radiation: Cu Ka. Structure: a GGA+U-relaxed structure.
Kinematic intensities with the Lorentz-polarization factor, no thermal factor.

Top 10 peaks for 5 to 70 degrees two-theta, by intensity:
2θ/deg	d/Å	intensity	index
27.37	3.259	100	1 1 -1
30.09	2.970	73	3 1 0
50.09	1.821	50	4 2 -1
41.66	2.168	37	5 1 -1
56.48	1.629	36	2 2 -2
41.55	2.173	36	3 1 1
15.22	5.820	28	2 0 0
30.17	2.963	26	4 0 -1
50.20	1.817	20	5 1 -2
31.45	2.844	16	1 1 1

a = 12.5046 Å, b = 4.6110 Å, c = 4.6061 Å
α = 90.00°, β = 111.42°, γ = 90.00°
Space group C2 (No. 5)
Inequivalent atoms, fractional coordinates:
Mg (0.0000, 0.0000, 0.0000) [2 per cell]
V (0.1808, 0.4731, 0.7070) [4 per cell]
O (0.1950, 0.2114, 0.9785) [4 per cell]
F (0.0714, 0.2801, 0.3447) [4 per cell]
F (0.0710, 0.7228, 0.7925) [4 per cell]
F (0.1942, 0.7876, 0.4123) [4 per cell]

=====

(3)
This entry pairs a crystal structure of MgV4O7F5 with its theoretical PXRD pattern. Radiation: Cu Ka. Structure: a GGA+U-relaxed structure.
Kinematic intensities with the Lorentz-polarization factor, no thermal factor.

Top 10 peaks for 5 to 70 degrees two-theta, by intensity:
2θ/deg	d/Å	intensity	index
24.08	3.696	100	0 0 2
22.88	3.887	98	1 1 0
24.64	3.613	93	1 -1 0
33.06	2.710	27	0 2 0
32.48	2.756	23	1 1 2
49.31	1.848	23	0 0 4
46.74	1.944	23	2 2 0
41.29	2.186	22	-2 1 1
33.97	2.639	21	-1 1 2
50.52	1.807	19	2 -2 0

a = 5.1887 Å, b = 5.4481 Å, c = 7.4104 Å
α = 85.93°, β = 89.29°, γ = 85.77°
Space group P1 (No. 1)
Inequivalent atoms, fractional coordinates:
Mg (0.0000, 0.0000, 0.0000) [1 per cell]
V (0.0039, 0.5825, 0.7733) [1 per cell]
V (0.5019, 0.1074, 0.7925) [1 per cell]
V (0.5152, 0.1158, 0.2817) [1 per cell]
V (0.9326, 0.5774, 0.2991) [1 per cell]
O (0.0813, 0.6003, 0.5521) [1 per cell]
O (0.1889, 0.2696, 0.8589) [1 per cell]
O (0.6204, 0.1166, 0.0561) [1 per cell]
O (0.6987, 0.8063, 0.3497) [1 per cell]
O (0.7823, 0.9030, 0.7725) [1 per cell]
O (0.7931, 0.3062, 0.3490) [1 per cell]
O (0.9261, 0.6244, 0.0634) [1 per cell]
F (0.1945, 0.9558, 0.2283) [1 per cell]
F (0.2856, 0.8001, 0.8529) [1 per cell]
F (0.2975, 0.4265, 0.2650) [1 per cell]
F (0.3926, 0.1073, 0.5408) [1 per cell]
F (0.6827, 0.4116, 0.7490) [1 per cell]

=====

(4)
This entry pairs a crystal structure of MgV4O4F8 with its theoretical PXRD pattern. Radiation: Cu Ka. Structure: a GGA+U-relaxed structure.
Kinematic intensities with the Lorentz-polarization factor, no thermal factor.

Top 10 peaks for 5 to 70 degrees two-theta, by intensity:
2θ/deg	d/Å	intensity	index
24.22	3.675	100	1 1 0
23.07	3.855	48	0 0 2
33.02	2.713	33	1 1 -2
49.62	1.837	25	2 2 0
62.36	1.489	17	1 3 2
40.57	2.224	16	1 2 -1
39.21	2.298	16	0 1 3
52.76	1.735	15	1 1 -4
34.04	2.634	15	2 0 0
47.15	1.928	14	0 0 4

a = 5.2763 Å, b = 5.1284 Å, c = 7.7223 Å
α = 90.00°, β = 93.20°, γ = 90.00°
Space group P2 (No. 3)
Inequivalent atoms, fractional coordinates:
Mg (0.0000, 0.0000, 0.0000) [1 per cell]
V (0.0077, 0.5187, 0.2584) [2 per cell]
V (0.4897, 0.0168, 0.7416) [2 per cell]
O (0.2050, 0.1988, 0.7216) [2 per cell]
O (0.2061, 0.8326, 0.1922) [2 per cell]
F (0.0000, 0.3853, 0.0000) [1 per cell]
F (0.0000, 0.6379, 0.5000) [1 per cell]
F (0.2966, 0.7148, 0.8244) [2 per cell]
F (0.3149, 0.3213, 0.3250) [2 per cell]
F (0.5000, 0.1263, 0.0000) [1 per cell]
F (0.5000, 0.8899, 0.5000) [1 per cell]

=====

(5)
This entry pairs a crystal structure of MgV4O7F5 with its theoretical PXRD pattern. Radiation: Cu Ka. Structure: a GGA+U-relaxed structure.
Kinematic intensities with the Lorentz-polarization factor, no thermal factor.

Top 10 peaks for 5 to 70 degrees two-theta, by intensity:
2θ/deg	d/Å	intensity	index
23.03	3.862	100	1 -1 0
23.55	3.778	92	1 1 0
24.80	3.590	89	0 0 2
47.06	1.931	25	2 -2 0
33.67	2.662	22	1 1 -2
33.53	2.673	22	1 -1 2
48.18	1.889	21	2 2 0
50.87	1.795	19	0 0 4
51.89	1.762	16	1 -3 0
32.15	2.785	16	0 2 0

a = 5.2490 Å, b = 5.5792 Å, c = 7.1917 Å
α = 93.20°, β = 90.43°, γ = 91.24°
Space group P1 (No. 1)
Inequivalent atoms, fractional coordinates:
Mg (0.0000, 0.0000, 0.0000) [1 per cell]
V (0.0401, 0.4393, 0.2792) [1 per cell]
V (0.5191, 0.8373, 0.7700) [1 per cell]
V (0.5409, 0.9329, 0.2867) [1 per cell]
V (0.9862, 0.3919, 0.7716) [1 per cell]
O (0.0935, 0.4079, 0.5450) [1 per cell]
O (0.2783, 0.6363, 0.2391) [1 per cell]
O (0.4278, 0.9036, 0.5497) [1 per cell]
O (0.6281, 0.8903, 0.0197) [1 per cell]
O (0.6778, 0.5789, 0.7282) [1 per cell]
O (0.7265, 0.1800, 0.3250) [1 per cell]
O (0.9236, 0.3693, 0.0232) [1 per cell]
F (0.1812, 0.7124, 0.8552) [1 per cell]
F (0.2137, 0.1077, 0.2249) [1 per cell]
F (0.2790, 0.1604, 0.8458) [1 per cell]
F (0.7901, 0.6871, 0.3378) [1 per cell]
F (0.8231, 0.0584, 0.7345) [1 per cell]

=====

(6)
This entry pairs a crystal structure of MgV2O2F6 with its theoretical PXRD pattern. Radiation: Cu Ka. Structure: a GGA+U-relaxed structure.
Kinematic intensities with the Lorentz-polarization factor, no thermal factor.

Top 10 peaks for 5 to 70 degrees two-theta, by intensity:
2θ/deg	d/Å	intensity	index
18.18	4.879	100	2 0 0
38.55	2.336	49	2 2 1
24.25	3.671	39	1 1 -1
16.91	5.244	38	1 1 0
50.78	1.798	31	4 2 1
39.63	2.274	23	2 0 -2
51.66	1.769	13	4 0 -2
61.83	1.501	12	0 2 3
67.50	1.388	11	6 2 -1
65.03	1.434	9	2 2 3

a = 9.7578 Å, b = 6.2185 Å, c = 5.1399 Å
α = 90.00°, β = 90.02°, γ = 90.00°
Space group C2 (No. 5)
Inequivalent atoms, fractional coordinates:
Mg (0.0000, 0.0000, 0.0000) [2 per cell]
V (0.0000, 0.4929, 0.0000) [2 per cell]
V (0.0000, 0.7372, 0.5000) [2 per cell]
O (0.0931, 0.7093, 0.1863) [4 per cell]
F (0.1038, 0.9556, 0.6701) [4 per cell]
F (0.1089, 0.2550, 0.1161) [4 per cell]
F (0.1106, 0.5045, 0.6802) [4 per cell]

=====

(7)
This entry pairs a crystal structure of MgV6O5F19 with its theoretical PXRD pattern. Radiation: Cu Ka. Structure: a GGA+U-relaxed structure.
Kinematic intensities with the Lorentz-polarization factor, no thermal factor.

Top 10 peaks for 5 to 70 degrees two-theta, by intensity:
2θ/deg	d/Å	intensity	index
17.13	5.177	100	0 0 3
25.15	3.540	70	1 -1 1
25.28	3.523	41	1 1 2
25.50	3.493	38	-1 1 2
39.51	2.281	16	2 1 -1
32.88	2.724	14	0 2 1
51.63	1.770	13	2 2 -2
34.68	2.587	10	0 0 6
48.73	1.869	9	-2 2 1
48.43	1.879	9	2 2 1

a = 5.1638 Å, b = 5.4497 Å, c = 15.7169 Å
α = 81.21°, β = 89.53°, γ = 89.68°
Space group P1 (No. 1)
Inequivalent atoms, fractional coordinates:
Mg (0.0000, 0.0000, 0.0000) [1 per cell]
V (0.4959, 0.9403, 0.8634) [1 per cell]
V (0.4968, 0.2697, 0.2209) [1 per cell]
V (0.5082, 0.5664, 0.5452) [1 per cell]
V (0.9445, 0.7630, 0.2247) [1 per cell]
V (0.9637, 0.0650, 0.5449) [1 per cell]
V (0.9644, 0.4744, 0.8669) [1 per cell]
O (0.6788, 0.6806, 0.8463) [1 per cell]
O (0.6879, 0.3343, 0.5207) [1 per cell]
O (0.7204, 0.9999, 0.2023) [1 per cell]
O (0.7711, 0.5164, 0.2025) [1 per cell]
O (0.7867, 0.8338, 0.5207) [1 per cell]
F (0.0893, 0.2017, 0.4441) [1 per cell]
F (0.0951, 0.8356, 0.1072) [1 per cell]
F (0.1470, 0.5348, 0.7717) [1 per cell]
F (0.1671, 0.7445, 0.9143) [1 per cell]
F (0.2054, 0.4094, 0.5775) [1 per cell]
F (0.2112, 0.0456, 0.2408) [1 per cell]
F (0.2533, 0.1959, 0.9140) [1 per cell]
F (0.2667, 0.9066, 0.5779) [1 per cell]
F (0.2697, 0.5483, 0.2394) [1 per cell]
F (0.3292, 0.0463, 0.7669) [1 per cell]
F (0.3912, 0.7050, 0.4438) [1 per cell]
F (0.4197, 0.3290, 0.1076) [1 per cell]
F (0.5657, 0.2214, 0.3328) [1 per cell]
F (0.5945, 0.5767, 0.6538) [1 per cell]
F (0.6435, 0.9100, 0.9788) [1 per cell]
F (0.7736, 0.1893, 0.8348) [1 per cell]
F (0.8756, 0.0761, 0.6538) [1 per cell]
F (0.8802, 0.3544, 0.9830) [1 per cell]
F (0.9215, 0.7173, 0.3379) [1 per cell]

=====

(8)
This entry pairs a crystal structure of MgV4O7F5 with its theoretical PXRD pattern. Radiation: Cu Ka. Structure: a GGA+U-relaxed structure.
Kinematic intensities with the Lorentz-polarization factor, no thermal factor.

Top 10 peaks for 5 to 70 degrees two-theta, by intensity:
2θ/deg	d/Å	intensity	index
22.91	3.881	100	0 1 -1
24.81	3.588	99	1 1 2
23.45	3.793	94	1 0 -1
46.82	1.941	31	0 2 -2
32.45	2.759	25	1 -1 0
33.81	2.651	23	0 1 3
33.08	2.708	22	1 2 1
34.97	2.566	20	2 1 1
47.97	1.896	19	2 0 -2
50.90	1.794	19	2 2 4

a = 5.1364 Å, b = 5.4387 Å, c = 8.8941 Å
α = 75.03°, β = 76.44°, γ = 62.98°
Space group P1 (No. 1)
Inequivalent atoms, fractional coordinates:
Mg (0.0000, 0.0000, 0.0000) [1 per cell]
V (0.1475, 0.2259, 0.6124) [1 per cell]
V (0.2941, 0.4826, 0.9089) [1 per cell]
V (0.5860, 0.7182, 0.1581) [1 per cell]
V (0.8889, 0.9726, 0.3856) [1 per cell]
O (0.2283, 0.3842, 0.7460) [1 per cell]
O (0.2971, 0.8119, 0.3179) [1 per cell]
O (0.3827, 0.5891, 0.0609) [1 per cell]
O (0.4492, 0.1349, 0.4839) [1 per cell]
O (0.7849, 0.9320, 0.2210) [1 per cell]
O (0.8808, 0.6879, 0.9873) [1 per cell]
O (0.9359, 0.0914, 0.5608) [1 per cell]
F (0.2689, 0.8773, 0.7834) [1 per cell]
F (0.3005, 0.1147, 0.0344) [1 per cell]
F (0.7368, 0.2840, 0.8535) [1 per cell]
F (0.8392, 0.3581, 0.2719) [1 per cell]
F (0.9132, 0.6027, 0.5141) [1 per cell]